Rb2FeTeBr6: theoretical powder XRD pattern (Cu Kα (λ = 1.5418 Å)), based on DFT lattice parameters and positions (GGA-PBE).

Cell and atoms:
```
data_Rb2FeTeBr6
_chemical_formula_sum 'Rb4 Fe2 Te2 Br12'
_symmetry_space_group_name_H-M 'I 4/m m m'
_symmetry_Int_Tables_number 139
_symmetry_space_group_name_Hall '-I 4 2'
_cell_length_a 8.0288
_cell_length_b 8.0288
_cell_length_c 11.0370
_cell_angle_alpha 90.00
_cell_angle_beta 90.00
_cell_angle_gamma 90.00
loop_
_atom_site_label
_atom_site_fract_x
_atom_site_fract_y
_atom_site_fract_z
Rb1 0.0000 0.5000 0.2500
Fe1 0.0000 0.0000 0.0000
Te1 0.0000 0.0000 0.5000
Br1 0.0000 0.0000 0.2467
Br2 0.2222 0.2222 0.0000
```

Top 12 peaks for 10° ≤ 2θ ≤ 90°, most intense first:
2θ = 31.52°, I 100, (2 2 0); 2θ = 27.48°, I 94, (2 0 2); 2θ = 45.86°, I 69, (2 2 4); 2θ = 32.45°, I 51, (0 0 4); 2θ = 56.71°, I 33, (4 0 4); 2θ = 45.17°, I 33, (4 0 0); 2θ = 15.61°, I 30, (1 1 0); 2θ = 22.47°, I 29, (1 1 2); 2θ = 53.69°, I 20, (4 2 2); 2θ = 22.14°, I 17, (2 0 0); 2θ = 83.90°, I 16, (6 2 4); 2θ = 76.82°, I 15, (2 2 8)

---

Cd7SnHg6: theoretical powder XRD pattern (Cu Kα (λ = 1.5418 Å)), based on DFT lattice parameters and positions (GGA-PBE).

Cell and atoms:
```
data_Cd7SnHg6
_chemical_formula_sum 'Cd28 Sn4 Hg24'
_symmetry_space_group_name_H-M 'I b a m'
_symmetry_Int_Tables_number 72
_symmetry_space_group_name_Hall '-I 2 2c'
_cell_length_a 6.2968
_cell_length_b 19.9997
_cell_length_c 11.4234
_cell_angle_alpha 90.00
_cell_angle_beta 90.00
_cell_angle_gamma 90.00
loop_
_atom_site_label
_atom_site_fract_x
_atom_site_fract_y
_atom_site_fract_z
Cd1 0.0000 0.0000 0.2500
Cd2 0.0986 0.2681 0.1278
Cd3 0.2418 0.4879 0.5000
Sn1 0.0000 0.5000 0.2500
Hg1 0.1313 0.1293 0.5000
Hg2 0.2452 0.1292 0.1823
```

Top 12 peaks for 10° ≤ 2θ ≤ 90°, most intense first:
2θ = 28.82°, I 100, (1 2 3); 2θ = 38.64°, I 79, (1 6 3); 2θ = 37.27°, I 71, (2 4 2); 2θ = 35.92°, I 52, (0 8 0); 2θ = 33.67°, I 50, (2 4 0); 2θ = 32.61°, I 31, (0 2 4); 2θ = 37.16°, I 23, (2 5 1); 2θ = 32.41°, I 22, (2 3 1); 2θ = 72.21°, I 15, (1 14 3); 2θ = 44.83°, I 15, (3 2 1); 2θ = 41.64°, I 14, (0 6 4); 2θ = 70.91°, I 14, (4 4 4)

---

Rb6Sn3Br14: theoretical powder XRD pattern (Cu Kα (λ = 1.5418 Å)), based on DFT lattice parameters and positions (GGA-PBE).

Cell and atoms:
```
data_Rb6Sn3Br14
_chemical_formula_sum 'Rb6 Sn3 Br14'
_symmetry_space_group_name_H-M 'P 3'
_symmetry_Int_Tables_number 143
_cell_length_a 12.0595
_cell_length_b 12.0595
_cell_length_c 8.3519
_cell_angle_alpha 90.00
_cell_angle_beta 90.00
_cell_angle_gamma 120.00
loop_
_symmetry_equiv_pos_as_xyz
'x,y,z'
'-y,x-y,z'
'-x+y,-x,z'
loop_
_atom_site_label
_atom_site_fract_x
_atom_site_fract_y
_atom_site_fract_z
Rb1 0.0590 0.5940 0.0000
Rb2 0.2814 0.0830 0.5219
Sn1 0.0000 0.0000 0.9520
Sn2 0.3333 0.6667 0.4404
Sn3 0.6667 0.3333 0.7994
Br1 0.0000 0.0000 0.3291
Br2 0.0759 0.8506 0.7815
Br3 0.1656 0.4410 0.2743
Br4 0.3333 0.6667 0.8104
Br5 0.4612 0.1961 0.9801
Br6 0.5334 0.4062 0.6146
```

Top 12 peaks for 10° ≤ 2θ ≤ 90°, most intense first:
2θ = 24.95°, I 100, (2 1 1); 2θ = 39.58°, I 85, (4 1 0); 2θ = 13.58°, I 63, (1 0 1); 2θ = 27.76°, I 58, (3 0 1); 2θ = 31.18°, I 51, (3 -2 2); 2θ = 27.35°, I 51, (0 2 2); 2θ = 14.69°, I 47, (1 1 0); 2θ = 32.72°, I 37, (4 -3 1); 2θ = 45.15°, I 36, (3 3 0); 2θ = 20.05°, I 31, (2 0 1); 2θ = 37.80°, I 30, (4 -3 2); 2θ = 10.59°, I 28, (0 0 1)